Record 1
This entry pairs a crystal structure of TlV6S8 with its calculated X-ray diffraction stick pattern. Radiation: Cu Ka. Structure: the GGA-PBE geometry in the Materials Project.

Atomic structure:
```
data_TlV6S8
_cell_length_a 9.2353
_cell_length_b 9.2353
_cell_length_c 3.2394
_cell_angle_alpha 90.00
_cell_angle_beta 90.00
_cell_angle_gamma 120.00
_symmetry_space_group_name_H-M 'P -3'
_symmetry_Int_Tables_number 147
loop_
_symmetry_equiv_pos_as_xyz
'x,y,z'
'-x,-y,-z'
'-y,x-y,z'
'y,-x+y,-z'
'-x+y,-x,z'
'x-y,x,-z'
loop_
_atom_site_label
_atom_site_type_symbol
_atom_site_fract_x
_atom_site_fract_y
_atom_site_fract_z
Tl1 Tl 0.0000 0.0000 0.0000
V1 V 0.1159 0.6261 0.7519
S1 S 0.0522 0.3488 0.7465
S2 S 0.3333 0.6667 0.2512
```

The 6 most intense peaks (2θ = 10–90°), sorted by position:
| hkl | 2θ/deg | Rel. int. |
| --- | --- | --- |
| 2 0 0 | 22.23 | 79 |
| 2 1 0 | 29.55 | 48 |
| 1 0 1 | 29.76 | 62 |
| 3 0 0 | 33.62 | 49 |
| 1 3 0 | 40.67 | 59 |
| 1 2 1 | 40.83 | 100 |



Record 2
This entry pairs a crystal structure of TlV12S16 with its calculated X-ray diffraction stick pattern. Radiation: Cu Ka. Structure: the GGA-PBE geometry in the Materials Project.

Atomic structure:
```
data_TlV12S16
_cell_length_a 3.2676
_cell_length_b 9.1132
_cell_length_c 15.8129
_cell_angle_alpha 90.10
_cell_angle_beta 90.01
_cell_angle_gamma 90.00
_symmetry_space_group_name_H-M 'P -1'
_symmetry_Int_Tables_number 2
loop_
_symmetry_equiv_pos_as_xyz
'x,y,z'
'-x,-y,-z'
loop_
_atom_site_label
_atom_site_type_symbol
_atom_site_fract_x
_atom_site_fract_y
_atom_site_fract_z
Tl1 Tl 0.0000 0.0000 0.0000
V1 V 0.2495 0.1253 0.7538
V2 V 0.2500 0.0708 0.5599
V3 V 0.2497 0.3064 0.1857
V4 V 0.2496 0.5687 0.0602
V5 V 0.2501 0.6238 0.2558
V6 V 0.2500 0.8047 0.6841
S1 S 0.2500 0.9996 0.3335
S2 S 0.2501 0.3010 0.6481
S3 S 0.2502 0.3769 0.3262
S4 S 0.2500 0.4998 0.8330
S5 S 0.2503 0.8228 0.5254
S6 S 0.2531 0.3224 0.0247
S7 S 0.2531 0.8007 0.1489
S8 S 0.2530 0.8755 0.8259
```

The 6 most intense peaks (2θ = 10–90°), sorted by position:
| hkl | 2θ/deg | Rel. int. |
| --- | --- | --- |
| 0 0 4 | 22.51 | 36 |
| 1 1 1 | 29.59 | 41 |
| 0 0 6 | 34.05 | 35 |
| 1 -1 5 | 40.95 | 100 |
| 0 4 -2 | 41.20 | 54 |
| 1 2 -6 | 48.69 | 49 |



Record 3
This entry pairs a crystal structure of TlV12S16 with its calculated X-ray diffraction stick pattern. Radiation: Cu Ka. Structure: the GGA-PBE geometry in the Materials Project.

Atomic structure:
```
data_TlV12S16
_cell_length_a 6.5079
_cell_length_b 9.1570
_cell_length_c 9.7050
_cell_angle_alpha 118.05
_cell_angle_beta 109.57
_cell_angle_gamma 90.01
_symmetry_space_group_name_H-M 'P 1'
_symmetry_Int_Tables_number 1
loop_
_symmetry_equiv_pos_as_xyz
'x,y,z'
loop_
_atom_site_label
_atom_site_type_symbol
_atom_site_fract_x
_atom_site_fract_y
_atom_site_fract_z
Tl1 Tl 0.0000 0.0000 0.0000
V1 V 0.1128 0.4911 0.3728
V2 V 0.1186 0.3714 0.8809
V3 V 0.1831 0.8808 0.5115
V4 V 0.4237 0.1183 0.4910
V5 V 0.4869 0.6289 0.1191
V6 V 0.4902 0.5101 0.6286
V7 V 0.6124 0.4886 0.3699
V8 V 0.6167 0.3715 0.8809
V9 V 0.6812 0.8818 0.5090
V10 V 0.9209 0.1188 0.4900
V11 V 0.9860 0.6295 0.1195
V12 V 0.9920 0.5092 0.6275
S1 S 0.0301 0.0512 0.7041
S2 S 0.0750 0.9483 0.2981
S3 S 0.1528 0.6527 0.9488
S4 S 0.2537 0.7050 0.6539
S5 S 0.2601 0.3330 0.6663
S6 S 0.3444 0.6666 0.3333
S7 S 0.3514 0.2958 0.3470
S8 S 0.4528 0.3471 0.0516
S9 S 0.5298 0.0508 0.7050
S10 S 0.5744 0.9493 0.2953
S11 S 0.6510 0.6534 0.9486
S12 S 0.7514 0.7024 0.6506
S13 S 0.7604 0.3337 0.6670
S14 S 0.8442 0.6669 0.3337
S15 S 0.8503 0.2948 0.3460
S16 S 0.9516 0.3494 0.0517
```

The 6 most intense peaks (2θ = 10–90°), sorted by position:
| hkl | 2θ/deg | Rel. int. |
| --- | --- | --- |
| 0 2 -2 | 22.43 | 32 |
| 2 1 -2 | 29.68 | 34 |
| 0 3 0 | 33.93 | 29 |
| 2 1 -4 | 40.96 | 100 |
| 0 1 -4 | 41.07 | 31 |
| -2 2 3 | 48.64 | 40 |



Record 4
This entry pairs a crystal structure of Tl3VS4 with its calculated X-ray diffraction stick pattern. Radiation: Cu Ka. Structure: the GGA-PBE geometry in the Materials Project.

Atomic structure:
```
data_Tl3VS4
_cell_length_a 7.6747
_cell_length_b 7.6747
_cell_length_c 7.6747
_cell_angle_alpha 90.00
_cell_angle_beta 90.00
_cell_angle_gamma 90.00
_symmetry_space_group_name_H-M 'I -4 3 m'
_symmetry_Int_Tables_number 217
_symmetry_space_group_name_Hall 'I -4 2 3'
loop_
_atom_site_label
_atom_site_type_symbol
_atom_site_fract_x
_atom_site_fract_y
_atom_site_fract_z
Tl1 Tl 0.0000 0.0000 0.5000
V1 V 0.0000 0.0000 0.0000
S1 S 0.1631 0.1631 0.8369
```

The 6 most intense peaks (2θ = 10–90°), sorted by position:
| hkl | 2θ/deg | Rel. int. |
| --- | --- | --- |
| 2 0 0 | 23.18 | 90 |
| 2 2 0 | 33.01 | 100 |
| 2 2 2 | 40.73 | 34 |
| 4 2 0 | 53.39 | 53 |
| 4 2 2 | 58.96 | 34 |
| 6 0 0 | 74.13 | 24 |



Record 5
This entry pairs a crystal structure of ZrTl4S4 with its calculated X-ray diffraction stick pattern. Radiation: Cu Ka. Structure: the GGA-PBE geometry in the Materials Project.

Atomic structure:
```
data_ZrTl4S4
_cell_length_a 9.2805
_cell_length_b 9.2809
_cell_length_c 15.8587
_cell_angle_alpha 104.08
_cell_angle_beta 104.79
_cell_angle_gamma 90.04
_symmetry_space_group_name_H-M 'P -1'
_symmetry_Int_Tables_number 2
loop_
_symmetry_equiv_pos_as_xyz
'x,y,z'
'-x,-y,-z'
loop_
_atom_site_label
_atom_site_type_symbol
_atom_site_fract_x
_atom_site_fract_y
_atom_site_fract_z
Zr1 Zr 0.0000 0.0000 0.0000
Zr2 Zr 0.0159 0.1824 0.5996
Zr3 Zr 0.1737 0.8090 0.1994
Tl1 Tl 0.0419 0.5779 0.7997
Tl2 Tl 0.2120 0.2158 0.4012
Tl3 Tl 0.2128 0.5849 0.5948
Tl4 Tl 0.2188 0.3952 0.9931
Tl5 Tl 0.2193 0.9585 0.7969
Tl6 Tl 0.3733 0.6011 0.3883
Tl7 Tl 0.3829 0.1975 0.1907
Tl8 Tl 0.3902 0.7868 0.0032
Tl9 Tl 0.4109 0.9710 0.5998
Tl10 Tl 0.4198 0.3925 0.7974
S1 S 0.0635 0.5549 0.4032
S2 S 0.0688 0.8979 0.5768
S3 S 0.0746 0.7364 0.0218
S4 S 0.0869 0.0775 0.1771
S5 S 0.0921 0.2389 0.7758
S6 S 0.2404 0.5425 0.1942
S7 S 0.2487 0.8867 0.3761
S8 S 0.2687 0.0714 0.9973
S9 S 0.2823 0.2554 0.6040
S10 S 0.4384 0.8824 0.1983
```

The 6 most intense peaks (2θ = 10–90°), sorted by position:
| hkl | 2θ/deg | Rel. int. |
| --- | --- | --- |
| 1 2 1 | 25.42 | 51 |
| 2 -1 2 | 26.05 | 45 |
| -2 1 3 | 26.35 | 43 |
| 1 2 -4 | 27.04 | 45 |
| 0 0 5 | 30.11 | 59 |
| 3 1 -2 | 30.49 | 100 |



Record 6
This entry pairs a crystal structure of Tm5S7 with its calculated X-ray diffraction stick pattern. Radiation: Cu Ka. Structure: the GGA-PBE geometry in the Materials Project.

Atomic structure:
```
data_Tm5S7
_cell_length_a 12.6433
_cell_length_b 3.7584
_cell_length_c 11.4785
_cell_angle_alpha 90.00
_cell_angle_beta 104.44
_cell_angle_gamma 90.00
_symmetry_space_group_name_H-M 'C 1 m 1'
_symmetry_Int_Tables_number 8
loop_
_symmetry_equiv_pos_as_xyz
'x,y,z'
'x,-y,z'
'x+1/2,y+1/2,z'
'x+1/2,-y+1/2,z'
loop_
_atom_site_label
_atom_site_type_symbol
_atom_site_fract_x
_atom_site_fract_y
_atom_site_fract_z
Tm1 Tm 0.0000 0.0000 0.0000
Tm2 Tm 0.0856 0.5000 0.3890
Tm3 Tm 0.1998 0.5000 0.8098
Tm4 Tm 0.3101 0.5000 0.2316
Tm5 Tm 0.4005 0.0000 0.6268
S1 S 0.0410 0.0000 0.7608
S2 S 0.1583 0.5000 0.0246
S3 S 0.1943 0.0000 0.3052
S4 S 0.2406 0.5000 0.5947
S5 S 0.3588 0.0000 0.8624
S6 S 0.4384 0.0000 0.1626
S7 S 0.4566 0.5000 0.4577
```

The 6 most intense peaks (2θ = 10–90°), sorted by position:
| hkl | 2θ/deg | Rel. int. |
| --- | --- | --- |
| 2 0 2 | 24.16 | 83 |
| 2 0 -3 | 24.79 | 100 |
| 1 1 1 | 26.63 | 34 |
| 4 0 -1 | 28.24 | 39 |
| 3 1 -2 | 33.68 | 46 |
| 3 1 1 | 34.73 | 36 |



Record 7
This entry pairs a crystal structure of Tm2S3 with its calculated X-ray diffraction stick pattern. Radiation: Cu Ka. Structure: the GGA-PBE geometry in the Materials Project.

Atomic structure:
```
data_Tm2S3
_cell_length_a 10.0787
_cell_length_b 3.9761
_cell_length_c 17.4721
_cell_angle_alpha 90.00
_cell_angle_beta 98.66
_cell_angle_gamma 90.00
_symmetry_space_group_name_H-M 'P 1 21/m 1'
_symmetry_Int_Tables_number 11
loop_
_symmetry_equiv_pos_as_xyz
'x,y,z'
'-x,-y,-z'
'-x,y+1/2,-z'
'x,-y+1/2,z'
loop_
_atom_site_label
_atom_site_type_symbol
_atom_site_fract_x
_atom_site_fract_y
_atom_site_fract_z
Tm1 Tm 0.0129 0.2500 0.1006
Tm2 Tm 0.0491 0.7500 0.6150
Tm3 Tm 0.3111 0.2500 0.4792
Tm4 Tm 0.3130 0.2500 0.7795
Tm5 Tm 0.3293 0.7500 0.2815
Tm6 Tm 0.3755 0.2500 0.0702
S1 S 0.1155 0.7500 0.4674
S2 S 0.1326 0.2500 0.9688
S3 S 0.1382 0.7500 0.7825
S4 S 0.1804 0.2500 0.3177
S5 S 0.2100 0.7500 0.1315
S6 S 0.2314 0.2500 0.6272
S7 S 0.4479 0.2500 0.9248
S8 S 0.4513 0.7500 0.4240
S9 S 0.4919 0.2500 0.2320
```

The 6 most intense peaks (2θ = 10–90°), sorted by position:
| hkl | 2θ/deg | Rel. int. |
| --- | --- | --- |
| 1 0 4 | 23.66 | 85 |
| 2 0 -4 | 25.18 | 73 |
| 0 1 3 | 27.26 | 100 |
| 3 1 -3 | 36.88 | 77 |
| 3 1 3 | 40.33 | 85 |
| 2 1 -7 | 44.69 | 99 |



Record 8
This entry pairs a crystal structure of Tm2S3 with its calculated X-ray diffraction stick pattern. Radiation: Cu Ka. Structure: the GGA-PBE geometry in the Materials Project.

Atomic structure:
```
data_Tm2S3
_cell_length_a 6.8006
_cell_length_b 6.8006
_cell_length_c 18.3354
_cell_angle_alpha 90.00
_cell_angle_beta 90.00
_cell_angle_gamma 120.00
_symmetry_space_group_name_H-M 'R -3 c'
_symmetry_Int_Tables_number 167
_symmetry_space_group_name_Hall '-R 3 2"c'
loop_
_atom_site_label
_atom_site_type_symbol
_atom_site_fract_x
_atom_site_fract_y
_atom_site_fract_z
Tm1 Tm 0.0000 0.0000 0.1505
S1 S 0.0000 0.3024 0.2500
```

The 6 most intense peaks (2θ = 10–90°), sorted by position:
| hkl | 2θ/deg | Rel. int. |
| --- | --- | --- |
| 1 0 4 | 24.61 | 94 |
| 1 1 0 | 26.21 | 100 |
| 0 2 4 | 36.26 | 44 |
| 1 1 6 | 39.65 | 85 |
| 2 1 4 | 45.29 | 44 |
| 3 0 0 | 46.24 | 47 |



Record 9
This entry pairs a crystal structure of Tm2S3 with its calculated X-ray diffraction stick pattern. Radiation: Cu Ka. Structure: the GGA-PBE geometry in the Materials Project.

Atomic structure:
```
data_Tm2S3
_cell_length_a 12.5456
_cell_length_b 12.5456
_cell_length_c 12.5456
_cell_angle_alpha 90.00
_cell_angle_beta 90.00
_cell_angle_gamma 90.00
_symmetry_space_group_name_H-M 'I a -3'
_symmetry_Int_Tables_number 206
_symmetry_space_group_name_Hall '-I 2b 2c 3'
loop_
_atom_site_label
_atom_site_type_symbol
_atom_site_fract_x
_atom_site_fract_y
_atom_site_fract_z
Tm1 Tm 0.0000 0.2500 0.4517
Tm2 Tm 0.2500 0.2500 0.2500
S1 S 0.1067 0.1606 0.6166
```

The 6 most intense peaks (2θ = 10–90°), sorted by position:
| hkl | 2θ/deg | Rel. int. |
| --- | --- | --- |
| 2 1 1 | 17.31 | 21 |
| 2 2 2 | 24.58 | 100 |
| 4 0 0 | 28.46 | 23 |
| 4 1 3 | 36.52 | 19 |
| 4 4 0 | 40.68 | 40 |
| 6 2 2 | 48.11 | 23 |